This entry pairs a crystal structure of NaAlCr2H2O8 with its simulated powder diffractogram. Radiation: Cu Kα X-rays. Structure: a PBE+U-relaxed structure.
Neutral-atom scattering factors, no anomalous dispersion.

Structural model:
```
data_NaAlCr2H2O8
_symmetry_space_group_name_H-M 'C 1 2/c 1'
_symmetry_Int_Tables_number 15
_cell_length_a 15.074
_cell_length_b 5.590
_cell_length_c 9.171
_cell_angle_alpha 90.00
_cell_angle_beta 120.94
_cell_angle_gamma 90.00
loop_
_symmetry_equiv_pos_as_xyz
'x,y,z'
'-x,-y,-z'
'-x,y,-z+1/2'
'x,-y,z+1/2'
'x+1/2,y+1/2,z'
'-x+1/2,-y+1/2,-z'
'-x+1/2,y+1/2,-z+1/2'
'x+1/2,-y+1/2,z+1/2'
loop_
_atom_site_label
_atom_site_fract_x
_atom_site_fract_y
_atom_site_fract_z
Na1 0.000 0.066 0.250
Al1 0.250 0.250 0.500
Cr1 0.134 0.274 0.072
H1 0.056 0.295 0.557
O1 0.002 0.240 0.581
O2 0.145 0.242 0.269
O3 0.162 0.439 0.549
O4 0.188 0.038 0.033
```

Most intense lines, 2θ from 10° to 80°, low angle first:
h k l	2θ/deg	Rel. int.
0 0 2	22.6	68
3 1 -1	23.8	100
4 0 -2	25.1	10
0 2 0	32.0	17
2 0 2	32.2	30
3 1 -3	33.6	33
2 2 -2	37.7	12
5 1 1	45.2	16
3 3 -1	52.4	16
6 2 -4	55.0	12